Starting from a DFT-relaxed cell (PBE, the Materials Project), the powder diffractogram of SiO2 was simulated for copper Kα.

Atomic structure:
```
18
Lattice="6.3713 -2.5293 0.0000 6.3713 2.5293 0.0000 -0.8952 0.0000 4.5561" Properties=species:S:1:pos:R:3 pbc="T T T"
Si 5.6999 1.8100 3.4171
Si 4.1349 0.7322 0.7760
Si 3.6873 -0.7322 3.0540
Si 8.1601 0.7322 1.5021
Si 7.7125 -0.7322 3.7801
Si 6.1475 -1.8100 1.1390
O 5.3871 1.9067 0.1766
O 2.5594 0.5152 3.7330
O 6.9079 1.9067 2.1014
O 4.7287 0.6462 2.4584
O 3.0070 -0.5152 1.4549
O 6.6711 0.6462 4.3758
O 5.1763 -0.6462 0.1803
O 8.8404 0.5152 3.1011
O 7.1187 -0.6462 2.0977
O 4.9396 -1.9067 2.4547
O 9.2880 -0.5152 0.8231
O 6.4603 -1.9067 4.3795
```

Most intense lines, 10 to 90 degrees two-theta, in order of rising 2θ:
| 2θ/deg | I/Imax |
| --- | --- |
| 27.73 | 100 |
| 28.28 | 17 |
| 31.57 | 69 |
| 36.51 | 26 |
| 44.90 | 28 |
| 48.13 | 41 |
| 57.89 | 33 |
| 59.10 | 18 |
| 64.22 | 24 |
| 71.54 | 25 |